The following is a computed X-ray diffraction stick pattern of Dy2Si3Ni12Pt. It was derived from DFT lattice parameters and positions (PBE), using CuKα.
No peak broadening, texture or thermal motion is included.

Cell and atoms:
Cell lengths 6.2816, 6.2816, 6.2816 Å; angles 85.44, 85.44, 85.44 degrees
Element x y z (fractional)
1 Dy 0.1755 0.1755 0.1755
2 Dy 0.8245 0.8245 0.8245
3 Si 0.0000 0.5000 0.5000
4 Si 0.5000 0.0000 0.5000
5 Si 0.5000 0.5000 0.0000
6 Ni 0.1087 0.1087 0.6077
7 Ni 0.1087 0.6077 0.1087
8 Ni 0.1946 0.6917 0.6917
9 Ni 0.3083 0.3083 0.8054
10 Ni 0.3083 0.8054 0.3083
11 Ni 0.3923 0.8913 0.8913
12 Ni 0.6077 0.1087 0.1087
13 Ni 0.6917 0.1946 0.6917
14 Ni 0.6917 0.6917 0.1946
15 Ni 0.8054 0.3083 0.3083
16 Ni 0.8913 0.3923 0.8913
17 Ni 0.8913 0.8913 0.3923
18 Pt 0.5000 0.5000 0.5000

Main lines, by angle (2θ from 10° to 90°):
- 2θ 22.78, I 31
- 2θ 31.07, I 57
- 2θ 42.42, I 100
- 2θ 43.47, I 23
- 2θ 45.88, I 32
- 2θ 48.68, I 25